Simulated XRD peak list
Compound: TmBeTlSe3
Radiation: Cu Kα X-rays
Structure: a cell relaxed with PBE
Kinematic intensities with the Lorentz-polarization factor, no thermal factor.

Top 6 peaks for 5 to 70 degrees two-theta, sorted by position:
(0 2 2), 2θ 20.39, 4.356 Å, intensity 1000
(1 3 0), 2θ 28.87, 3.092 Å, intensity 446
(1 3 1), 2θ 30.08, 2.971 Å, intensity 920
(0 0 4), 2θ 33.44, 2.680 Å, intensity 479
(1 1 3), 2θ 34.39, 2.608 Å, intensity 463
(0 4 4), 2θ 41.47, 2.177 Å, intensity 587

Structural model:
a b c (Å): 3.9441 14.9425 10.7224
angles (deg): 90.00 90.00 90.00
Space group Cmcm (No. 63)
Symmetry-distinct sites (fractional):
Tm 0.0000 0.0000 0.0000 (multiplicity 4)
Be 0.0000 0.4640 0.2500 (multiplicity 4)
Tl 0.0000 0.2506 0.7500 (multiplicity 4)
Se 0.0000 0.0570 0.2500 (multiplicity 4)
Se 0.0000 0.3787 0.0779 (multiplicity 8)